(1)
Theoretical powder diffraction line list
Compound: MgU2O6
Radiation: Cu Kα, 1.54184 Å
Structure: a structure optimized by DFT (GGA-PBE)

Largest 12 diffraction maxima, sorted by position, 10 to 90 degrees two-theta:
two_theta, d (Å), I_rel
16.0, 5.534, 29
18.8, 4.728, 55
25.0, 3.562, 28
29.2, 3.054, 100
29.6, 3.015, 95
33.5, 2.674, 20
34.0, 2.634, 42
34.3, 2.615, 21
48.4, 1.881, 18
49.1, 1.856, 68
57.8, 1.596, 30
58.5, 1.579, 29

Atomic structure:
abc: 6.403 6.403 6.403
angles: 145.84 131.79 60.40
Sites, in units of the cell vectors:
Mg 0.000 0.000 0.000
U 0.337 0.337 0.000
U 0.663 0.663 0.000
O 0.082 0.831 0.251
O 0.255 0.500 0.755
O 0.419 0.169 0.251
O 0.581 0.831 0.749
O 0.745 0.500 0.245
O 0.918 0.169 0.749

---

(2)
Theoretical powder diffraction line list
Compound: Na2CaP2O8
Radiation: Cu Kα, 1.54184 Å
Structure: a structure optimized by DFT (GGA-PBE)

Largest 12 diffraction maxima, sorted by position, 10 to 90 degrees two-theta:
two_theta, d (Å), I_rel
15.7, 5.657, 40
21.5, 4.128, 51
23.8, 3.741, 72
26.5, 3.360, 80
27.6, 3.237, 35
30.2, 2.955, 35
30.4, 2.939, 37
31.6, 2.831, 100
32.9, 2.720, 36
35.8, 2.511, 21
47.4, 1.919, 26
51.4, 1.777, 25

Atomic structure:
abc: 5.505 7.247 9.164
angles: 90.00 99.04 90.00
Sites, in units of the cell vectors:
Na 0.063 0.000 0.242
Na 0.325 0.744 0.616
Na 0.675 0.244 0.384
Na 0.937 0.500 0.758
Ca 0.197 0.520 0.233
Ca 0.803 0.020 0.767
P 0.238 0.237 0.576
P 0.306 0.874 0.963
P 0.694 0.374 0.037
P 0.762 0.737 0.424
O 0.032 0.710 0.400
O 0.139 0.763 0.843
O 0.190 0.071 0.950
O 0.245 0.265 0.408
O 0.295 0.798 0.119
O 0.340 0.417 0.658
O 0.401 0.071 0.631
O 0.428 0.381 0.070
O 0.572 0.881 0.930
O 0.599 0.571 0.369
O 0.660 0.917 0.342
O 0.705 0.298 0.881
O 0.755 0.765 0.592
O 0.810 0.571 0.050
O 0.861 0.263 0.157
O 0.968 0.210 0.600

---

(3)
Theoretical powder diffraction line list
Compound: Hf4Mo
Radiation: Cu Kα, 1.54184 Å
Structure: a structure optimized by DFT (GGA-PBE)

Largest 12 diffraction maxima, sorted by position, 10 to 90 degrees two-theta:
two_theta, d (Å), I_rel
25.5, 3.491, 12
31.4, 2.851, 100
36.4, 2.469, 34
39.8, 2.265, 25
47.9, 1.900, 31
52.4, 1.746, 36
62.4, 1.489, 26
67.8, 1.383, 13
71.5, 1.320, 5
73.7, 1.286, 10
79.4, 1.206, 12
85.8, 1.133, 6

Atomic structure:
abc: 6.983 6.983 6.983
angles: 60.00 60.00 60.00
Sites, in units of the cell vectors:
Hf 0.192 0.769 0.769
Hf 0.231 0.231 0.231
Hf 0.231 0.231 0.808
Hf 0.231 0.808 0.231
Hf 0.769 0.192 0.769
Hf 0.769 0.769 0.192
Hf 0.769 0.769 0.769
Hf 0.808 0.231 0.231
Mo 0.375 0.375 0.375
Mo 0.625 0.625 0.625